Diffraction record for Pm5PrAl6. The powder XRD pattern is computed, not measured: it uses a structure optimized by DFT (GGA-PBE) and copper Kα.
No peak broadening, texture or thermal motion is included.

Top 10 peaks for 15 to 90 degrees two-theta, by angle:
d [Å]	Rel. int.
3.709	58
2.623	100
2.141	18
1.853	12
1.660	12
1.657	12
1.515	25
1.513	12
1.312	8
1.172	8

Structure:
```
12
Lattice="8.2829 -3.7153 0.0000 8.2829 3.7153 0.0000 -1.6527 0.0000 4.9736" Properties=species:S:1:pos:R:3 pbc="T T T"
Pm 0.0000 0.0000 0.0000
Pm 1.6772 0.0000 3.3227
Pm 5.0010 0.0000 1.6669
Pm 9.9121 0.0000 3.3066
Pm 13.2358 0.0000 1.6509
Pr 8.2829 0.0000 0.0000
Al 4.1266 1.8798 4.1377
Al 7.4565 1.9036 2.4868
Al 10.7864 1.8798 0.8359
Al 4.1266 -1.8798 4.1377
Al 7.4565 -1.9036 2.4868
Al 10.7864 -1.8798 0.8359
```



Diffraction record for RbTaCd2. The powder XRD pattern is computed, not measured: it uses a structure optimized by DFT (GGA-PBE) and copper Kα.
No peak broadening, texture or thermal motion is included.

Top 10 peaks for 15 to 90 degrees two-theta, by angle:
d [Å]	Rel. int.
4.357	8
2.668	100
2.275	4
1.887	18
1.731	2
1.540	36
1.452	2
1.334	11
1.276	1
1.193	16

Structure:
```
4
Lattice="0.0000 3.7731 3.7731 3.7731 0.0000 3.7731 3.7731 3.7731 0.0000" Properties=species:S:1:pos:R:3 pbc="T T T"
Rb 0.0000 0.0000 0.0000
Ta 3.7731 3.7731 3.7731
Cd 1.8866 1.8866 1.8866
Cd 5.6597 5.6597 5.6597
```



Diffraction record for Na2VAgS4. The powder XRD pattern is computed, not measured: it uses a structure optimized by DFT (GGA-PBE) and copper Kα.
No peak broadening, texture or thermal motion is included.

Top 10 peaks for 15 to 90 degrees two-theta, by angle:
d [Å]	Rel. int.
4.872	100
3.535	39
3.413	28
3.074	77
2.436	28
2.410	21
2.224	28
2.075	24
1.939	22
1.880	37

Structure:
```
16
Lattice="7.9242 0.0000 0.0000 0.0000 6.7221 0.0000 0.0000 0.0000 7.0707" Properties=species:S:1:pos:R:3 pbc="T T T"
Na 1.9728 1.3713 0.0000
Na 1.9893 5.3508 3.5354
Na 5.9349 5.3508 3.5354
Na 5.9514 1.3713 0.0000
V 0.0000 1.4260 4.0798
V 3.9621 5.2961 0.5445
Ag 0.0000 5.1926 0.5983
Ag 3.9621 1.5294 4.1337
S 0.0000 0.7088 2.0318
S 0.0000 6.4089 5.3685
S 1.7504 2.6358 4.4902
S 2.2117 4.0862 0.9548
S 3.9621 0.3132 1.8332
S 3.9621 6.0133 5.5672
S 5.7126 4.0862 0.9548
S 6.1738 2.6358 4.4902
```



Diffraction record for Cs3TlTc2O8. The powder XRD pattern is computed, not measured: it uses a structure optimized by DFT (GGA-PBE) and copper Kα.
No peak broadening, texture or thermal motion is included.

Top 10 peaks for 15 to 90 degrees two-theta, by angle:
d [Å]	Rel. int.
3.448	100
3.309	100
2.387	46
2.020	15
1.936	36
1.910	20
1.724	11
1.654	20
1.529	14
1.492	18

Structure:
```
14
Lattice="6.6173 0.0000 0.0000 -3.3087 5.7308 0.0000 0.0000 0.0000 8.6345" Properties=species:S:1:pos:R:3 pbc="T T T"
Cs 0.0000 0.0000 0.0000
Cs 0.0000 3.8205 5.7837
Cs 3.3087 1.9103 2.8509
Tl 0.0000 0.0000 4.3173
Tc 0.0000 3.8205 1.8351
Tc 3.3087 1.9103 6.7994
O 0.0000 2.1376 2.4813
O -1.4575 4.6620 2.4813
O 0.0000 3.8205 0.0649
O 1.8512 1.0688 6.1532
O 1.4575 4.6620 2.4813
O 3.3087 1.9103 8.5697
O 4.7661 1.0688 6.1532
O 3.3087 3.5932 6.1532
```